(1)
This entry pairs a crystal structure of AcTbPm4Pr2 with its simulated powder diffraction line list. Radiation: λ = 1.5418 Å (Cu Kα). Structure: a DFT-relaxed cell (GGA-PBE, Alexandria).

Unit cell a=13.989 b=13.639 c=7.058 alpha=90.00 beta=120.05 gamma=90.00
Space group C2/c (No. 15)
Symmetry-distinct sites (fractional):
Ac 0.250 0.250 0.000 (multiplicity 4)
Tb 0.000 0.000 0.000 (multiplicity 4)
Pm 0.000 0.245 0.014 (multiplicity 8)
Pm 0.245 0.007 0.469 (multiplicity 8)
Pr 0.000 0.500 0.000 (multiplicity 4)
Pr 0.250 0.250 0.500 (multiplicity 4)

Largest 10 diffraction maxima, most intense first, 2θ = 5–70°:
(hkl)	Position (°2θ)	d_spacing	I (rel.)
4 4 -2	39.66	2.273	1000
0 4 0	26.13	3.410	776
4 0 0	29.51	3.027	577
4 0 -2	29.35	3.043	571
0 0 2	29.24	3.054	566
4 4 0	39.82	2.264	509
4 8 0	62.48	1.486	259
8 4 -2	59.40	1.556	157
4 4 2	59.21	1.560	150
4 4 -4	58.94	1.567	143

(2)
This entry pairs a crystal structure of La2PrHg2 with its simulated powder diffraction line list. Radiation: λ = 1.5418 Å (Cu Kα). Structure: a DFT-relaxed cell (GGA-PBE, Alexandria).

Unit cell a=5.051 b=7.367 c=8.445 alpha=90.00 beta=90.00 gamma=90.00
Space group Immm (No. 71)
Symmetry-distinct sites (fractional):
La 0.000 0.000 0.188 (multiplicity 4)
Pr 0.000 0.500 0.000 (multiplicity 2)
Hg 0.000 0.285 0.500 (multiplicity 4)

Largest 10 diffraction maxima, most intense first, 2θ = 5–70°:
(hkl)	Position (°2θ)	d_spacing	I (rel.)
1 2 1	31.88	2.807	1000
1 1 2	30.14	2.966	565
2 0 0	35.55	2.525	338
1 0 3	36.54	2.459	245
0 2 2	32.25	2.776	227
0 0 2	21.04	4.223	222
1 2 5	63.31	1.469	221
0 3 3	49.24	1.851	165
2 3 3	62.19	1.493	164
3 2 1	61.55	1.507	155

(3)
This entry pairs a crystal structure of Ca3In9Ga2 with its simulated powder diffraction line list. Radiation: λ = 1.5418 Å (Cu Kα). Structure: a DFT-relaxed cell (GGA-PBE, Alexandria).

Unit cell a=5.218 b=10.769 c=13.079 alpha=90.00 beta=90.00 gamma=90.00
Space group Immm (No. 71)
Symmetry-distinct sites (fractional):
Ca 0.000 0.000 0.000 (multiplicity 2)
Ca 0.000 0.000 0.293 (multiplicity 4)
In 0.000 0.276 0.144 (multiplicity 8)
In 0.000 0.364 0.364 (multiplicity 8)
In 0.000 0.500 0.000 (multiplicity 2)
Ga 0.000 0.152 0.500 (multiplicity 4)

Largest 10 diffraction maxima, most intense first, 2θ = 5–70°:
(hkl)	Position (°2θ)	d_spacing	I (rel.)
1 4 1	38.25	2.353	1000
1 2 3	31.48	2.842	994
2 0 0	34.37	2.609	902
1 3 4	41.16	2.193	796
0 2 4	32.02	2.795	461
1 4 7	63.13	1.473	441
1 1 4	33.39	2.683	379
1 1 0	18.90	4.696	362
1 3 2	33.25	2.695	348
1 3 0	30.22	2.958	331